This entry pairs a crystal structure of Ac5Tl2RhO with its simulated powder XRD pattern. Radiation: Cu Kα (weighted mean of Kα1 and Kα2). Structure: a structure optimized by DFT (PBE).
Kinematic intensities with the Lorentz-polarization factor, no thermal factor.

Largest 6 diffraction maxima, by angle, 2θ = 10–80°:
2θ (°)  I_rel
25.5  26
27.5  73
27.9  100
30.6  25
33.0  23
42.1  24

Atomic structure:
Unit cell a=10.1770 b=10.1770 c=14.7479 alpha=90.00 beta=90.00 gamma=155.62
Fractional positions:
Ac1 0.0034 0.9966 0.5000
Ac2 0.1610 0.8390 0.7323
Ac3 0.1802 0.8198 0.1036
Ac4 0.2022 0.7978 0.3827
Ac5 0.4628 0.5372 0.7269
Ac6 0.5372 0.4628 0.2269
Ac7 0.7978 0.2022 0.8827
Ac8 0.8198 0.1802 0.6036
Ac9 0.8390 0.1610 0.2323
Ac10 0.9966 0.0034 0.0000
Tl1 0.3658 0.6342 0.0514
Tl2 0.3817 0.6183 0.4129
Tl3 0.6183 0.3817 0.9129
Tl4 0.6342 0.3658 0.5514
Rh1 0.3075 0.6925 0.7433
Rh2 0.6925 0.3075 0.2433
O1 0.0478 0.9522 0.1479
O2 0.9522 0.0478 0.6479

---

This entry pairs a crystal structure of Ac2TlRhO8 with its simulated powder XRD pattern. Radiation: Cu Kα (weighted mean of Kα1 and Kα2). Structure: a structure optimized by DFT (PBE).
Kinematic intensities with the Lorentz-polarization factor, no thermal factor.

Largest 6 diffraction maxima, by angle, 2θ = 10–80°:
2θ (°)  I_rel
25.0  100
26.6  84
27.9  85
29.0  75
30.1  49
31.1  47

Atomic structure:
Unit cell a=4.4958 b=5.4188 c=7.7092 alpha=92.16 beta=91.64 gamma=93.67
Fractional positions:
Ac1 0.0324 0.4782 0.2581
Ac2 0.9676 0.5218 0.7419
Tl1 0.5000 0.0000 0.0000
Rh1 0.5000 0.0000 0.5000
O1 0.0817 0.8927 0.5112
O2 0.1327 0.7346 0.0155
O3 0.4398 0.2942 0.6453
O4 0.4502 0.1904 0.2749
O5 0.5498 0.8096 0.7251
O6 0.5602 0.7058 0.3547
O7 0.8673 0.2654 0.9845
O8 0.9183 0.1073 0.4888

---

This entry pairs a crystal structure of Ac2Tl3RhO6 with its simulated powder XRD pattern. Radiation: Cu Kα (weighted mean of Kα1 and Kα2). Structure: a structure optimized by DFT (PBE).
Kinematic intensities with the Lorentz-polarization factor, no thermal factor.

Largest 6 diffraction maxima, by angle, 2θ = 10–80°:
2θ (°)  I_rel
27.5  67
29.6  53
30.1  100
33.9  100
34.2  49
47.6  36

Atomic structure:
Unit cell a=6.2471 b=6.2471 c=6.7847 alpha=98.40 beta=98.40 gamma=119.43
Fractional positions:
Ac1 0.1672 0.8328 0.0000
Ac2 0.8328 0.1672 0.0000
Tl1 0.0000 0.0000 0.5000
Tl2 0.3406 0.6594 0.5000
Tl3 0.6594 0.3406 0.5000
Rh1 0.5000 0.5000 0.0000
O1 0.1501 0.4416 0.8283
O2 0.2801 0.2801 0.2016
O3 0.4416 0.1501 0.8283
O4 0.5584 0.8499 0.1717
O5 0.7199 0.7199 0.7984
O6 0.8499 0.5584 0.1717